(1)
# Ho2FeSi4
Calculated X-ray diffraction stick pattern, λ = 1.5418 Å (Cu Kα). Input: a PBE-relaxed structure.
Peak positions follow from Bragg's law for the DFT cell and can differ from measured ones.

Crystal structure
Lattice parameters (Å, degrees): 3.978 8.248 8.248 28.14 90.00 90.00
Sites, in units of the cell vectors:
Ho1 0.000 0.000 0.000
Ho2 0.500 0.217 0.217
Fe1 0.500 0.861 0.861
Si1 0.000 0.654 0.654
Si2 0.000 0.804 0.804
Si3 0.500 0.419 0.419
Si4 0.500 0.572 0.572

Largest 10 diffraction maxima, in order of rising 2θ, 15 to 90 degrees two-theta:
22.2°, d = 4.000 Å, rel. 16; 22.9°, d = 3.890 Å, rel. 26; 25.0°, d = 3.562 Å, rel. 40; 32.2°, d = 2.781 Å, rel. 30; 36.0°, d = 2.498 Å, rel. 100; 40.7°, d = 2.215 Å, rel. 24; 45.2°, d = 2.005 Å, rel. 16; 45.6°, d = 1.989 Å, rel. 16; 59.4°, d = 1.557 Å, rel. 17; 62.5°, d = 1.486 Å, rel. 15

=====

(2)
# Li3HfO3
Calculated X-ray diffraction stick pattern, λ = 1.5418 Å (Cu Kα). Input: a PBE-relaxed structure.
Peak positions follow from Bragg's law for the DFT cell and can differ from measured ones.

Crystal structure
Lattice parameters (Å, degrees): 9.600 9.600 3.455 90.00 90.00 90.00
Sites, in units of the cell vectors:
Li1 0.086 0.356 0.000
Li2 0.144 0.586 0.500
Li3 0.174 0.174 0.500
Li4 0.326 0.674 0.000
Li5 0.356 0.086 0.000
Li6 0.414 0.856 0.500
Li7 0.586 0.144 0.500
Li8 0.644 0.914 0.000
Li9 0.674 0.326 0.000
Li10 0.826 0.826 0.500
Li11 0.856 0.414 0.500
Li12 0.914 0.644 0.000
Hf1 0.119 0.881 0.000
Hf2 0.381 0.381 0.500
Hf3 0.619 0.619 0.500
Hf4 0.881 0.119 0.000
O1 0.102 0.102 0.000
O2 0.115 0.673 0.000
O3 0.173 0.385 0.500
O4 0.327 0.885 0.000
O5 0.385 0.173 0.500
O6 0.398 0.602 0.500
O7 0.602 0.398 0.500
O8 0.615 0.827 0.500
O9 0.673 0.115 0.000
O10 0.827 0.615 0.500
O11 0.885 0.327 0.000
O12 0.898 0.898 0.000

Largest 10 diffraction maxima, in order of rising 2θ, 15 to 90 degrees two-theta:
20.7°, d = 4.293 Å, rel. 100; 27.4°, d = 3.251 Å, rel. 90; 29.0°, d = 3.079 Å, rel. 33; 33.7°, d = 2.663 Å, rel. 31; 37.1°, d = 2.421 Å, rel. 40; 37.5°, d = 2.400 Å, rel. 44; 39.5°, d = 2.281 Å, rel. 25; 47.1°, d = 1.931 Å, rel. 36; 54.7°, d = 1.678 Å, rel. 34; 68.2°, d = 1.375 Å, rel. 19